# 1
This entry pairs a crystal structure of SrLi5AcIn2 with its simulated X-ray diffraction stick pattern. Radiation: a wavelength of 1.5418 Å. Structure: DFT lattice parameters and positions (PBE).
Peak positions follow from Bragg's law for the DFT cell and can differ from measured ones.

Main lines, by angle (2θ from 10° to 80°):
- (1 1 0), 24.99 deg, rel. 95
- (1 0 2), 25.94 deg, rel. 100
- (1 1 1), 26.76 deg, rel. 38
- (1 1 2), 31.52 deg, rel. 21
- (1 0 3), 33.71 deg, rel. 43
- (2 0 0), 35.64 deg, rel. 44
- (1 0 4), 42.48 deg, rel. 35
- (2 1 2), 44.60 deg, rel. 47
- (2 1 3), 49.86 deg, rel. 29
- (2 1 4), 56.61 deg, rel. 30

Structure:
```
data_SrLi5AcIn2
_chemical_formula_sum 'Sr1 Li5 Ac1 In2'
_symmetry_space_group_name_H-M 'P 4/m m m'
_symmetry_Int_Tables_number 123
_symmetry_space_group_name_Hall '-P 4 2'
_cell_length_a 5.0385
_cell_length_b 5.0385
_cell_length_c 9.3919
_cell_angle_alpha 90.00
_cell_angle_beta 90.00
_cell_angle_gamma 90.00
loop_
_atom_site_label
_atom_site_fract_x
_atom_site_fract_y
_atom_site_fract_z
_atom_site_occupancy
Sr1 0.0000 0.0000 0.0000 1
Li1 0.0000 0.5000 0.2279 1
Li2 0.5000 0.5000 0.0000 1
Ac1 0.0000 0.0000 0.5000 1
In1 0.5000 0.5000 0.3409 1
```

# 2
This entry pairs a crystal structure of Li4Ac2TlIn3 with its simulated X-ray diffraction stick pattern. Radiation: a wavelength of 1.5418 Å. Structure: DFT lattice parameters and positions (PBE).
Peak positions follow from Bragg's law for the DFT cell and can differ from measured ones.

Main lines, by angle (2θ from 10° to 80°):
- (1 0 1), 19.92 deg, rel. 42
- (1 1 1), 27.00 deg, rel. 59
- (1 1 2), 30.80 deg, rel. 100
- (1 0 3), 31.27 deg, rel. 71
- (2 0 0), 36.55 deg, rel. 59
- (1 0 5), 46.85 deg, rel. 19
- (2 1 3), 48.85 deg, rel. 42
- (2 2 0), 52.65 deg, rel. 21
- (1 1 6), 58.85 deg, rel. 20
- (3 1 2), 62.25 deg, rel. 28

Structure:
```
data_Li4Ac2TlIn3
_chemical_formula_sum 'Li4 Ac2 Tl1 In3'
_symmetry_space_group_name_H-M 'P -4 m 2'
_symmetry_Int_Tables_number 115
_cell_length_a 4.9170
_cell_length_b 4.9170
_cell_length_c 10.5509
_cell_angle_alpha 90.00
_cell_angle_beta 90.00
_cell_angle_gamma 90.00
loop_
_symmetry_equiv_pos_as_xyz
'x,y,z'
'y,-x,-z'
'-x,-y,z'
'-y,x,-z'
'-x,y,z'
'-y,-x,-z'
'x,-y,z'
'y,x,-z'
loop_
_atom_site_label
_atom_site_fract_x
_atom_site_fract_y
_atom_site_fract_z
_atom_site_occupancy
Li1 0.0000 0.0000 0.0000 1
Li2 0.0000 0.5000 0.3704 1
Li3 0.5000 0.5000 0.0000 1
Ac1 0.0000 0.5000 0.7537 1
Tl1 0.5000 0.5000 0.5000 1
In1 0.0000 0.0000 0.5000 1
In2 0.0000 0.5000 0.1173 1
```

# 3
This entry pairs a crystal structure of Li2AcTlIn2 with its simulated X-ray diffraction stick pattern. Radiation: a wavelength of 1.5418 Å. Structure: DFT lattice parameters and positions (PBE).
Peak positions follow from Bragg's law for the DFT cell and can differ from measured ones.

Main lines, by angle (2θ from 10° to 80°):
- (1 0 0), 17.89 deg, rel. 17
- (1 1 0), 25.40 deg, rel. 94
- (1 0 2), 32.73 deg, rel. 100
- (2 0 0), 36.23 deg, rel. 40
- (2 1 2), 49.62 deg, rel. 63
- (2 2 0), 52.17 deg, rel. 14
- (3 1 0), 58.89 deg, rel. 19
- (1 1 4), 62.52 deg, rel. 14
- (3 0 2), 62.97 deg, rel. 15
- (3 2 2), 74.86 deg, rel. 19

Structure:
```
data_Li2AcTlIn2
_chemical_formula_sum 'Li2 Ac1 Tl1 In2'
_symmetry_space_group_name_H-M 'P 4/m m m'
_symmetry_Int_Tables_number 123
_symmetry_space_group_name_Hall '-P 4 2'
_cell_length_a 4.9590
_cell_length_b 4.9590
_cell_length_c 6.5602
_cell_angle_alpha 90.00
_cell_angle_beta 90.00
_cell_angle_gamma 90.00
loop_
_atom_site_label
_atom_site_fract_x
_atom_site_fract_y
_atom_site_fract_z
_atom_site_occupancy
Li1 0.0000 0.5000 0.0000 1
Ac1 0.0000 0.0000 0.5000 1
Tl1 0.0000 0.0000 0.0000 1
In1 0.5000 0.5000 0.2686 1
```

# 4
This entry pairs a crystal structure of LiAcTl2In with its simulated X-ray diffraction stick pattern. Radiation: a wavelength of 1.5418 Å. Structure: DFT lattice parameters and positions (PBE).
Peak positions follow from Bragg's law for the DFT cell and can differ from measured ones.

Main lines, by angle (2θ from 10° to 80°):
- (0 0 2), 26.43 deg, rel. 32
- (2 0 0), 28.93 deg, rel. 35
- (1 2 1), 32.98 deg, rel. 100
- (2 0 2), 39.58 deg, rel. 23
- (1 2 3), 50.95 deg, rel. 17
- (3 2 1), 53.90 deg, rel. 25
- (4 0 0), 59.96 deg, rel. 8
- (2 4 0), 62.61 deg, rel. 9
- (3 2 3), 67.64 deg, rel. 8
- (2 4 2), 69.17 deg, rel. 9

Structure:
```
data_LiAcTl2In
_chemical_formula_sum 'Li2 Ac2 Tl4 In2'
_symmetry_space_group_name_H-M 'P m m a'
_symmetry_Int_Tables_number 51
_cell_length_a 6.1723
_cell_length_b 6.7684
_cell_length_c 6.7450
_cell_angle_alpha 90.00
_cell_angle_beta 90.00
_cell_angle_gamma 90.00
loop_
_symmetry_equiv_pos_as_xyz
'x,y,z'
'-x,-y,-z'
'-x+1/2,-y,z'
'x+1/2,y,-z'
'x+1/2,-y,-z'
'-x+1/2,y,z'
'-x,y,-z'
'x,-y,z'
loop_
_atom_site_label
_atom_site_fract_x
_atom_site_fract_y
_atom_site_fract_z
_atom_site_occupancy
Li1 0.0000 0.0000 0.0000 1
Ac1 0.2500 0.5000 0.2256 1
Tl1 0.2500 0.2549 0.7339 1
In1 0.2500 0.0000 0.3584 1
```

# 5
This entry pairs a crystal structure of LiAcZnIn2 with its simulated X-ray diffraction stick pattern. Radiation: a wavelength of 1.5418 Å. Structure: DFT lattice parameters and positions (PBE).
Peak positions follow from Bragg's law for the DFT cell and can differ from measured ones.

Main lines, by angle (2θ from 10° to 80°):
- (0 0 2), 15.64 deg, rel. 14
- (1 1 0), 26.76 deg, rel. 62
- (1 0 3), 30.33 deg, rel. 100
- (1 1 2), 31.14 deg, rel. 51
- (2 0 0), 38.20 deg, rel. 49
- (1 0 5), 44.36 deg, rel. 33
- (2 1 3), 49.54 deg, rel. 51
- (2 2 0), 55.13 deg, rel. 17
- (2 1 5), 59.95 deg, rel. 27
- (3 2 3), 77.26 deg, rel. 14

Structure:
```
data_LiAcZnIn2
_chemical_formula_sum 'Li2 Ac2 Zn2 In4'
_symmetry_space_group_name_H-M 'I -4 m 2'
_symmetry_Int_Tables_number 119
_symmetry_space_group_name_Hall 'I -4 -2'
_cell_length_a 4.7116
_cell_length_b 4.7116
_cell_length_c 11.3299
_cell_angle_alpha 90.00
_cell_angle_beta 90.00
_cell_angle_gamma 90.00
loop_
_atom_site_label
_atom_site_fract_x
_atom_site_fract_y
_atom_site_fract_z
_atom_site_occupancy
Li1 0.0000 0.0000 0.0000 1
Ac1 0.0000 0.5000 0.7500 1
Zn1 0.0000 0.0000 0.5000 1
In1 0.0000 0.5000 0.1236 1
```

# 6
This entry pairs a crystal structure of LiAcZnIn with its simulated X-ray diffraction stick pattern. Radiation: a wavelength of 1.5418 Å. Structure: DFT lattice parameters and positions (PBE).
Peak positions follow from Bragg's law for the DFT cell and can differ from measured ones.

Main lines, by angle (2θ from 10° to 80°):
- (1 0 1), 22.57 deg, rel. 29
- (0 1 2), 24.60 deg, rel. 93
- (1 0 4), 31.54 deg, rel. 100
- (0 0 6), 33.98 deg, rel. 21
- (1 1 0), 38.32 deg, rel. 69
- (2 0 2), 46.07 deg, rel. 18
- (0 2 4), 50.45 deg, rel. 27
- (0 1 8), 51.34 deg, rel. 17
- (1 1 6), 52.14 deg, rel. 38
- (2 1 4), 65.08 deg, rel. 25

Structure:
```
data_LiAcZnIn
_chemical_formula_sum 'Li3 Ac3 Zn3 In3'
_symmetry_space_group_name_H-M 'R 3 m'
_symmetry_Int_Tables_number 160
_symmetry_space_group_name_Hall 'R 3 -2"'
_cell_length_a 4.6973
_cell_length_b 4.6973
_cell_length_c 15.8316
_cell_angle_alpha 90.00
_cell_angle_beta 90.00
_cell_angle_gamma 120.00
loop_
_atom_site_label
_atom_site_fract_x
_atom_site_fract_y
_atom_site_fract_z
_atom_site_occupancy
Li1 0.0000 0.0000 0.0000 1
Ac1 0.0000 0.0000 0.7960 1
Zn1 0.0000 0.0000 0.5841 1
In1 0.0000 0.0000 0.2941 1
```